1.
This entry pairs a crystal structure of Ac3Ga3Ge8 with its calculated PXRD pattern. Radiation: Cu Kα. Structure: a cell relaxed with GGA-PBE.
Intensities are scaled so that the largest is 100.

Cell and atoms:
```
Ac3Ga3Ge8
1.0
-2.346 5.150 6.778
2.346 -5.150 6.778
2.346 5.150 -6.778
Ac Ga Ge
3 3 8
Direct
0.000 0.000 0.000
0.311 0.311 0.000
0.689 0.689 0.000
0.295 0.500 0.795
0.500 0.000 0.500
0.705 0.500 0.205
0.016 0.660 0.356
0.133 0.860 0.273
0.303 0.660 0.644
0.412 0.140 0.273
0.588 0.860 0.727
0.697 0.340 0.356
0.867 0.140 0.727
0.984 0.340 0.644
```

Peak list (8 most intense, 15 to 90 degrees two-theta, in order of rising 2θ)
| 2theta | I (rel.) |
| --- | --- |
| 20.81 | 23 |
| 27.40 | 26 |
| 32.31 | 39 |
| 32.55 | 100 |
| 32.76 | 33 |
| 38.37 | 41 |
| 39.90 | 20 |
| 51.32 | 19 |

***

2.
This entry pairs a crystal structure of Ac6Ga6Ge with its calculated PXRD pattern. Radiation: Cu Kα. Structure: a cell relaxed with GGA-PBE.
Intensities are scaled so that the largest is 100.

Cell and atoms:
```
Ac6Ga6Ge
1.0
6.530 0.000 0.000
-3.265 5.655 0.000
0.000 0.000 10.923
Ac Ga Ge
6 6 1
Direct
0.000 0.000 0.217
0.000 0.000 0.783
0.333 0.667 0.000
0.333 0.667 0.500
0.667 0.333 0.000
0.667 0.333 0.500
0.000 0.500 0.246
0.000 0.500 0.754
0.500 0.000 0.246
0.500 0.000 0.754
0.500 0.500 0.246
0.500 0.500 0.754
0.000 0.000 0.500
```

Peak list (8 most intense, 15 to 90 degrees two-theta, in order of rising 2θ)
| 2theta | I (rel.) |
| --- | --- |
| 22.63 | 77 |
| 27.32 | 100 |
| 31.94 | 42 |
| 32.80 | 39 |
| 35.76 | 94 |
| 43.19 | 47 |
| 56.36 | 30 |
| 66.76 | 30 |

***

3.
This entry pairs a crystal structure of AcGaGe2O8 with its calculated PXRD pattern. Radiation: Cu Kα. Structure: a cell relaxed with GGA-PBE.
Intensities are scaled so that the largest is 100.

Cell and atoms:
```
AcGaGe2O8
1.0
5.340 0.000 0.000
-2.670 4.624 0.000
0.000 0.000 6.965
Ac Ga Ge O
1 1 2 8
Direct
0.000 0.000 0.000
0.000 0.000 0.500
0.333 0.667 0.728
0.667 0.333 0.272
0.063 0.309 0.682
0.246 0.937 0.682
0.309 0.246 0.318
0.333 0.667 0.989
0.667 0.333 0.011
0.691 0.754 0.682
0.754 0.063 0.318
0.937 0.691 0.318
```

Peak list (8 most intense, 15 to 90 degrees two-theta, in order of rising 2θ)
| 2theta | I (rel.) |
| --- | --- |
| 19.19 | 75 |
| 23.09 | 77 |
| 32.18 | 100 |
| 33.57 | 74 |
| 36.03 | 22 |
| 47.18 | 42 |
| 59.14 | 40 |
| 63.82 | 25 |